Structure and simulated powder X-ray diffraction pattern of Sc2TaB6 (a structure optimized by DFT (PBE); Cu Kα (weighted mean of Kα1 and Kα2)).
Peak positions follow from Bragg's law for the DFT cell and can differ from measured ones.

Atomic structure:
```
9
Lattice="5.398 0.000 0.000 -2.699 4.675 0.000 0.000 0.000 3.427" Properties=species:S:1:pos:R:3 pbc="T T T"
Sc 0.000 3.117 0.000
Sc 2.699 1.558 0.000
Ta 0.000 0.000 0.000
B -0.893 1.547 1.713
B -1.806 3.128 1.713
B 1.786 0.000 1.713
B 0.893 1.547 1.713
B 3.612 0.000 1.713
B 1.806 3.128 1.713
```

Peak list (10 most intense, 2θ from 10° to 90°, low angle first)
| d [Å] | Rel. int. |
| --- | --- |
| 4.675 | 82 |
| 3.427 | 34 |
| 2.764 | 45 |
| 2.699 | 71 |
| 2.120 | 100 |
| 1.931 | 17 |
| 1.570 | 18 |
| 1.558 | 21 |
| 1.446 | 21 |
| 1.256 | 17 |

Structure and simulated powder X-ray diffraction pattern of CaTb12Tm5 (a structure optimized by DFT (PBE); Cu Kα (weighted mean of Kα1 and Kα2)).
Peak positions follow from Bragg's law for the DFT cell and can differ from measured ones.

Atomic structure:
```
18
Lattice="10.656 0.000 0.000 0.000 5.024 0.000 -0.033 0.000 10.673" Properties=species:S:1:pos:R:3 pbc="T T T"
Ca 0.000 0.000 0.000
Tb -0.012 0.000 7.069
Tb 1.765 2.512 5.343
Tb 1.830 2.512 1.839
Tb 3.549 0.000 3.565
Tb 3.566 0.000 10.664
Tb 5.294 2.512 8.889
Tb 5.329 2.512 1.783
Tb 7.057 0.000 0.009
Tb 7.075 0.000 7.108
Tb 8.794 2.512 8.834
Tb 8.859 2.512 5.330
Tb 10.636 0.000 3.604
Tm 1.815 2.512 8.828
Tm 3.535 0.000 7.111
Tm 5.312 2.512 5.336
Tm 7.088 0.000 3.562
Tm 8.809 2.512 1.845
```

Peak list (10 most intense, 2θ from 10° to 90°, low angle first)
| d [Å] | Rel. int. |
| --- | --- |
| 2.902 | 100 |
| 2.515 | 34 |
| 2.510 | 17 |
| 1.778 | 24 |
| 1.776 | 12 |
| 1.517 | 14 |
| 1.515 | 28 |
| 1.451 | 12 |
| 1.153 | 9 |
| 1.123 | 7 |

Structure and simulated powder X-ray diffraction pattern of LiGaGe2Se6 (a structure optimized by DFT (PBE); Cu Kα (weighted mean of Kα1 and Kα2)).
Peak positions follow from Bragg's law for the DFT cell and can differ from measured ones.

Atomic structure:
```
20
Lattice="3.638 -6.334 0.000 3.638 6.334 0.000 -3.049 0.000 12.070" Properties=species:S:1:pos:R:3 pbc="T T T"
Li 2.114 3.777 6.035
Li 3.638 -3.777 0.000
Ga 0.402 4.689 10.790
Ga 1.926 -4.689 4.755
Ge 3.529 3.212 2.132
Ge 5.242 0.057 1.437
Ge 3.718 -0.057 7.472
Ge 2.005 -3.212 8.167
Se -0.882 2.642 10.385
Se -0.135 2.117 6.584
Se 1.748 5.282 8.833
Se 1.390 -2.117 0.549
Se 3.011 0.899 1.748
Se 0.642 -2.642 4.350
Se 1.487 -0.899 7.783
Se 3.363 2.280 8.023
Se 2.794 0.419 11.243
Se 4.318 -0.419 5.208
Se 4.888 -2.280 1.988
Se 3.273 -5.282 2.798
```

Peak list (10 most intense, 2θ from 10° to 90°, low angle first)
| d [Å] | Rel. int. |
| --- | --- |
| 6.164 | 74 |
| 6.036 | 100 |
| 3.757 | 34 |
| 3.623 | 38 |
| 3.152 | 46 |
| 3.081 | 62 |
| 3.063 | 69 |
| 3.018 | 50 |
| 2.973 | 41 |
| 2.844 | 35 |

Structure and simulated powder X-ray diffraction pattern of PtAu5 (a structure optimized by DFT (PBE); Cu Kα (weighted mean of Kα1 and Kα2)).
Peak positions follow from Bragg's law for the DFT cell and can differ from measured ones.

Atomic structure:
```
6
Lattice="2.092 -6.122 0.000 2.092 6.122 0.000 0.000 0.000 4.122" Properties=species:S:1:pos:R:3 pbc="T T T"
Pt 0.000 0.000 0.000
Au 2.092 4.109 2.061
Au 2.092 2.029 0.000
Au 2.092 0.000 2.061
Au 2.092 -2.029 0.000
Au 2.092 -4.109 2.061
```

Peak list (10 most intense, 2θ from 10° to 90°, low angle first)
| d [Å] | Rel. int. |
| --- | --- |
| 2.384 | 100 |
| 2.092 | 17 |
| 2.061 | 16 |
| 2.041 | 16 |
| 1.468 | 11 |
| 1.461 | 11 |
| 1.257 | 14 |
| 1.243 | 13 |
| 1.234 | 13 |
| 1.192 | 12 |

Structure and simulated powder X-ray diffraction pattern of CsNaCdI4 (a structure optimized by DFT (PBE); Cu Kα (weighted mean of Kα1 and Kα2)).
Peak positions follow from Bragg's law for the DFT cell and can differ from measured ones.

Atomic structure:
```
14
Lattice="7.692 0.000 0.000 0.000 8.544 0.000 -2.864 0.000 10.115" Properties=species:S:1:pos:R:3 pbc="T T T"
Cs 1.584 2.136 0.555
Cs 3.244 6.408 9.560
Na -0.268 2.136 5.253
Na 5.096 6.408 4.862
Cd 0.855 6.408 3.222
Cd 3.973 2.136 6.893
I -1.815 0.006 7.211
I -1.815 4.266 7.211
I 2.398 6.408 0.884
I 2.100 6.408 5.710
I 2.728 2.136 4.405
I 2.430 2.136 9.232
I 6.643 4.278 2.905
I 6.643 8.538 2.905
```

Peak list (10 most intense, 2θ from 10° to 90°, low angle first)
| d [Å] | Rel. int. |
| --- | --- |
| 3.729 | 64 |
| 3.700 | 100 |
| 3.638 | 74 |
| 3.418 | 52 |
| 3.264 | 80 |
| 3.215 | 61 |
| 2.797 | 50 |
| 2.411 | 49 |
| 2.260 | 57 |
| 2.136 | 57 |

Structure and simulated powder X-ray diffraction pattern of Pm3Ga2Co7 (a structure optimized by DFT (PBE); Cu Kα (weighted mean of Kα1 and Kα2)).
Peak positions follow from Bragg's law for the DFT cell and can differ from measured ones.

Atomic structure:
```
12
Lattice="2.610 1.507 7.916 -2.610 1.507 7.916 0.000 -3.014 7.916" Properties=species:S:1:pos:R:3 pbc="T T T"
Pm 0.000 0.000 0.000
Pm 0.000 0.000 3.333
Pm 0.000 0.000 20.414
Ga 0.000 0.000 7.886
Ga 0.000 0.000 15.860
Co -1.281 -0.739 9.873
Co 0.000 -1.479 13.874
Co -1.281 0.739 13.874
Co 0.000 0.000 11.873
Co 1.281 -0.739 9.873
Co 0.000 1.479 9.873
Co 1.281 0.739 13.874
```

Peak list (10 most intense, 2θ from 10° to 90°, low angle first)
| d [Å] | Rel. int. |
| --- | --- |
| 2.713 | 41 |
| 2.610 | 57 |
| 2.481 | 28 |
| 2.250 | 37 |
| 2.179 | 100 |
| 2.041 | 16 |
| 1.948 | 13 |
| 1.526 | 13 |
| 1.408 | 24 |
| 1.305 | 23 |